Theoretical powder diffraction line list of BHS3 for Cu Kα (weighted mean of Kα1 and Kα2), from a DFT-relaxed cell (GGA-PBE, Alexandria).
Neutral-atom scattering factors, no anomalous dispersion.

The 12 most intense peaks (2θ from 10° to 90°), by intensity:
| Position (°2θ) | I/Imax |
| --- | --- |
| 15.66 | 100.0 |
| 27.23 | 78.8 |
| 13.81 | 62.4 |
| 24.71 | 40.1 |
| 27.00 | 30.0 |
| 35.24 | 27.0 |
| 43.60 | 20.4 |
| 31.41 | 18.9 |
| 39.32 | 18.3 |
| 33.85 | 12.2 |
| 53.92 | 12.0 |
| 39.46 | 11.8 |

Structure:
```
data_BHS3
_symmetry_space_group_name_H-M 'P 1'
_symmetry_Int_Tables_number 1
_symmetry_space_group_name_Hall 'P 1'
_cell_length_a 8.2360
_cell_length_b 8.2360
_cell_length_c 13.7054
_cell_angle_alpha 122.46
_cell_angle_beta 122.46
_cell_angle_gamma 36.03
loop_
_atom_site_label
_atom_site_type_symbol
_atom_site_fract_x
_atom_site_fract_y
_atom_site_fract_z
_atom_site_occupancy
B1 B 0.0194 0.9806 0.7500 1
B2 B 0.4737 0.5263 0.7500 1
B3 B 0.5263 0.4737 0.2500 1
B4 B 0.9806 0.0194 0.2500 1
H1 H 0.1359 0.3539 0.7749 1
H2 H 0.3539 0.1359 0.2749 1
H3 H 0.6461 0.8641 0.7251 1
H4 H 0.8641 0.6461 0.2251 1
S1 S 0.0653 0.4960 0.1695 1
S2 S 0.1540 0.6609 0.6276 1
S3 S 0.1901 0.6858 0.2986 1
S4 S 0.3142 0.8099 0.2014 1
S5 S 0.3391 0.8460 0.8724 1
S6 S 0.4960 0.0653 0.6695 1
S7 S 0.5040 0.9347 0.3305 1
S8 S 0.6609 0.1540 0.1276 1
S9 S 0.6858 0.1901 0.7986 1
S10 S 0.8099 0.3142 0.7014 1
S11 S 0.8460 0.3391 0.3724 1
S12 S 0.9347 0.5040 0.8305 1
```